1.
Diffraction record for MnC5O4F2. The powder diffractogram is simulated, not measured: it uses a structure optimized by DFT (PBE+U) and CuKα.
Neutral-atom scattering factors, no anomalous dispersion.

Structure:
Unit cell a=8.223 b=10.959 c=11.890 alpha=90.00 beta=133.65 gamma=90.00
Space group P2_1/c (No. 14)
Inequivalent atoms, fractional coordinates:
Mn: 0.139 0.088 0.104 [4 per cell]
C: 0.019 0.084 0.193 [4 per cell]
C: 0.118 0.244 0.602 [4 per cell]
C: 0.178 0.600 0.617 [4 per cell]
C: 0.279 0.111 0.031 [4 per cell]
C: 0.419 0.079 0.302 [4 per cell]
O: 0.044 0.589 0.246 [4 per cell]
O: 0.105 0.139 0.599 [4 per cell]
O: 0.373 0.135 0.994 [4 per cell]
O: 0.406 0.571 0.073 [4 per cell]
F: 0.202 0.661 0.729 [4 per cell]
F: 0.349 0.646 0.633 [4 per cell]

Most intense lines, 10° ≤ 2θ ≤ 80°, by angle:
| (hkl) | 2θ/deg | Rel. int. |
| --- | --- | --- |
| 0 1 1 | 13.08 | 669 |
| 1 1 -1 | 13.46 | 1000 |
| 1 0 -2 | 14.91 | 697 |
| 2 0 -2 | 21.61 | 90 |
| 2 1 -3 | 25.36 | 152 |
| 1 2 1 | 28.52 | 163 |
| 1 3 -2 | 28.68 | 79 |
| 2 1 -4 | 31.19 | 170 |
| 0 4 0 | 32.68 | 206 |
| 1 0 2 | 33.06 | 191 |
| 1 1 2 | 34.09 | 206 |
| 3 0 -4 | 34.35 | 328 |

***

2.
Diffraction record for Sr2MnCO3F5. The powder diffractogram is simulated, not measured: it uses a structure optimized by DFT (PBE+U) and CuKα.
Neutral-atom scattering factors, no anomalous dispersion.

Structure:
Unit cell a=5.586 b=9.064 c=13.964 alpha=90.00 beta=106.94 gamma=90.00
Space group P2_1/c (No. 14)
Inequivalent atoms, fractional coordinates:
Sr: 0.192 0.145 0.414 [4 per cell]
Sr: 0.194 0.608 0.402 [4 per cell]
Mn: 0.309 0.127 0.672 [4 per cell]
C: 0.319 0.623 0.636 [4 per cell]
O: 0.086 0.619 0.584 [4 per cell]
O: 0.364 0.628 0.734 [4 per cell]
O: 0.495 0.623 0.594 [4 per cell]
F: 0.018 0.628 0.932 [4 per cell]
F: 0.155 0.548 0.228 [4 per cell]
F: 0.179 0.223 0.237 [4 per cell]
F: 0.390 0.211 0.076 [4 per cell]
F: 0.426 0.510 0.089 [4 per cell]

Most intense lines, 10° ≤ 2θ ≤ 80°, by angle:
| (hkl) | 2θ/deg | Rel. int. |
| --- | --- | --- |
| 1 2 -1 | 25.37 | 1000 |
| 0 0 4 | 26.70 | 165 |
| 1 0 -4 | 27.05 | 229 |
| 1 2 1 | 27.86 | 150 |
| 0 2 3 | 28.09 | 225 |
| 1 2 3 | 35.75 | 120 |
| 1 2 -5 | 38.51 | 125 |
| 0 4 0 | 39.80 | 256 |
| 0 0 6 | 40.52 | 151 |
| 2 2 -5 | 45.08 | 252 |
| 1 4 -4 | 48.75 | 181 |
| 3 2 -1 | 53.85 | 129 |

***

Copy entry 2 word for word.
Diffraction record for Sr2MnCO3F5. The powder diffractogram is simulated, not measured: it uses a structure optimized by DFT (PBE+U) and CuKα.
Neutral-atom scattering factors, no anomalous dispersion.

Structure:
Unit cell a=5.586 b=9.064 c=13.964 alpha=90.00 beta=106.94 gamma=90.00
Space group P2_1/c (No. 14)
Inequivalent atoms, fractional coordinates:
Sr: 0.192 0.145 0.414 [4 per cell]
Sr: 0.194 0.608 0.402 [4 per cell]
Mn: 0.309 0.127 0.672 [4 per cell]
C: 0.319 0.623 0.636 [4 per cell]
O: 0.086 0.619 0.584 [4 per cell]
O: 0.364 0.628 0.734 [4 per cell]
O: 0.495 0.623 0.594 [4 per cell]
F: 0.018 0.628 0.932 [4 per cell]
F: 0.155 0.548 0.228 [4 per cell]
F: 0.179 0.223 0.237 [4 per cell]
F: 0.390 0.211 0.076 [4 per cell]
F: 0.426 0.510 0.089 [4 per cell]

Most intense lines, 10° ≤ 2θ ≤ 80°, by angle:
| (hkl) | 2θ/deg | Rel. int. |
| --- | --- | --- |
| 1 2 -1 | 25.37 | 1000 |
| 0 0 4 | 26.70 | 165 |
| 1 0 -4 | 27.05 | 229 |
| 1 2 1 | 27.86 | 150 |
| 0 2 3 | 28.09 | 225 |
| 1 2 3 | 35.75 | 120 |
| 1 2 -5 | 38.51 | 125 |
| 0 4 0 | 39.80 | 256 |
| 0 0 6 | 40.52 | 151 |
| 2 2 -5 | 45.08 | 252 |
| 1 4 -4 | 48.75 | 181 |
| 3 2 -1 | 53.85 | 129 |